No. 1
Nd3SeBrN2: theoretical powder diffractogram (CuKα), based on DFT lattice parameters and positions (GGA-PBE).

Cell and atoms:
a b c (Å): 13.2833 4.1153 12.7168
angles (deg): 90.00 90.00 90.00
Space group Pnma (No. 62)
Symmetry-distinct sites (fractional):
Nd1 0.0212 0.2500 0.1144
Nd2 0.0888 0.7500 0.6113
Nd3 0.1972 0.2500 0.8446
Se1 0.0651 0.7500 0.3558
Br1 0.2437 0.7500 0.0621
N1 0.0530 0.2500 0.9336
N2 0.1419 0.7500 0.7735

Peak list (12 most intense, 2θ from 5° to 70°, by angle)
- (2 0 1), 5.887 Å, 2θ 15.05, rel. 44
- (2 1 1), 3.373 Å, 2θ 26.42, rel. 95
- (0 0 4), 3.179 Å, 2θ 28.07, rel. 91
- (1 0 4), 3.092 Å, 2θ 28.88, rel. 44
- (3 1 1), 2.933 Å, 2θ 30.48, rel. 89
- (1 1 3), 2.882 Å, 2θ 31.03, rel. 82
- (3 1 2), 2.724 Å, 2θ 32.88, rel. 100
- (2 1 3), 2.698 Å, 2θ 33.20, rel. 70
- (5 0 1), 2.601 Å, 2θ 34.49, rel. 51
- (0 2 0), 2.058 Å, 2θ 44.01, rel. 57
- (3 1 5), 1.944 Å, 2θ 46.74, rel. 34
- (0 1 7), 1.662 Å, 2θ 55.26, rel. 47


No. 2
Li4Pa4O11: theoretical powder diffractogram (CuKα), based on DFT lattice parameters and positions (GGA-PBE).

Cell and atoms:
a b c (Å): 5.1939 7.3030 5.8356
angles (deg): 90.00 90.57 90.00
Space group Pm (No. 6)
Symmetry-distinct sites (fractional):
Li1 0.0000 0.2270 0.0000
Li2 0.4792 0.2535 0.5201
Pa1 0.0180 0.5000 0.6029
Pa2 0.4520 0.5000 0.1249
Pa3 0.5077 0.0000 0.9085
Pa4 0.9548 0.0000 0.4131
O1 0.1356 0.0000 0.0730
O2 0.1515 0.3139 0.3243
O3 0.2966 0.3094 0.8394
O4 0.3452 0.0000 0.5556
O5 0.6057 0.5000 0.4834
O6 0.6738 0.1895 0.1739
O7 0.8078 0.1851 0.6899

Peak list (12 most intense, 2θ from 5° to 70°, by angle)
- (1 0 -1), 3.899 Å, 2θ 22.81, rel. 79
- (1 0 1), 3.861 Å, 2θ 23.04, rel. 77
- (0 2 0), 3.651 Å, 2θ 24.38, rel. 100
- (1 1 -1), 3.439 Å, 2θ 25.91, rel. 67
- (1 1 1), 3.413 Å, 2θ 26.11, rel. 65
- (0 1 2), 2.709 Å, 2θ 33.06, rel. 84
- (1 2 -1), 2.665 Å, 2θ 33.63, rel. 59
- (1 2 1), 2.653 Å, 2θ 33.79, rel. 59
- (2 0 0), 2.597 Å, 2θ 34.54, rel. 35
- (2 2 0), 2.116 Å, 2θ 42.73, rel. 51
- (2 1 -2), 1.883 Å, 2θ 48.32, rel. 29
- (0 3 2), 1.868 Å, 2θ 48.75, rel. 75


No. 3
Pr2SiNi2Ge: theoretical powder diffractogram (CuKα), based on DFT lattice parameters and positions (GGA-PBE).

Cell and atoms:
a b c (Å): 4.0998 4.0998 8.4182
angles (deg): 90.00 90.00 120.00
Space group P-6m2 (No. 187)
Symmetry-distinct sites (fractional):
Pr1 0.0000 0.0000 0.2470
Si1 0.6667 0.3333 0.0000
Ni1 0.3333 0.6667 0.0000
Ni2 0.6667 0.3333 0.5000
Ge1 0.3333 0.6667 0.5000

Peak list (12 most intense, 2θ from 5° to 70°, by angle)
- (0 0 1), 8.418 Å, 2θ 10.51, rel. 2
- (0 0 2), 4.209 Å, 2θ 21.11, rel. 1
- (1 0 0), 3.551 Å, 2θ 25.08, rel. 18
- (1 0 1), 3.271 Å, 2θ 27.26, rel. 1
- (1 0 2), 2.714 Å, 2θ 33.01, rel. 100
- (0 0 4), 2.105 Å, 2θ 42.98, rel. 13
- (1 1 0), 2.050 Å, 2θ 44.18, rel. 36
- (1 0 4), 1.810 Å, 2θ 50.41, rel. 6
- (2 0 0), 1.775 Å, 2θ 51.48, rel. 3
- (2 0 2), 1.636 Å, 2θ 56.24, rel. 21
- (1 1 4), 1.468 Å, 2θ 63.34, rel. 24
- (2 0 4), 1.357 Å, 2θ 69.24, rel. 2


No. 4
Cs7Ag5O2: theoretical powder diffractogram (CuKα), based on DFT lattice parameters and positions (GGA-PBE).

Cell and atoms:
a b c (Å): 6.1190 9.9627 17.7249
angles (deg): 90.00 90.00 90.00
Space group Immm (No. 71)
Symmetry-distinct sites (fractional):
Cs1 0.0000 0.0000 0.0000
Cs2 0.0000 0.2093 0.5000
Cs3 0.0000 0.2783 0.1632
Ag1 0.0000 0.0000 0.3079
Ag2 0.0000 0.5000 0.0000
Ag3 0.0000 0.5000 0.3478
O1 0.0000 0.2924 0.0000

Peak list (12 most intense, 2θ from 5° to 70°, by angle)
- (1 1 4), 3.377 Å, 2θ 26.40, rel. 7
- (1 2 3), 3.233 Å, 2θ 27.59, rel. 100
- (2 0 0), 3.060 Å, 2θ 29.19, rel. 27
- (0 0 6), 2.954 Å, 2θ 30.25, rel. 21
- (0 4 0), 2.491 Å, 2θ 36.06, rel. 10
- (2 0 6), 2.125 Å, 2θ 42.54, rel. 16
- (2 4 0), 1.932 Å, 2θ 47.05, rel. 10
- (0 4 6), 1.904 Å, 2θ 47.76, rel. 7
- (3 2 3), 1.798 Å, 2θ 50.78, rel. 18
- (1 2 9), 1.755 Å, 2θ 52.13, rel. 11
- (2 4 6), 1.617 Å, 2θ 56.96, rel. 9
- (4 0 6), 1.358 Å, 2θ 69.18, rel. 5


No. 5
Gd2Co7: theoretical powder diffractogram (CuKα), based on DFT lattice parameters and positions (GGA-PBE).

Cell and atoms:
a b c (Å): 4.9599 4.9599 24.0803
angles (deg): 90.00 90.00 120.00
Space group P6_3/mmc (No. 194)
Symmetry-distinct sites (fractional):
Gd1 0.3333 0.6667 0.0277
Gd2 0.3333 0.6667 0.1729
Co1 0.0000 0.0000 0.0000
Co2 0.0000 0.0000 0.1673
Co3 0.1658 0.3317 0.7500
Co4 0.1666 0.3333 0.5868
Co5 0.3333 0.6667 0.6683

Peak list (12 most intense, 2θ from 5° to 70°, by angle)
- (1 0 6), 2.933 Å, 2θ 30.48, rel. 11
- (1 0 7), 2.685 Å, 2θ 33.37, rel. 64
- (1 1 0), 2.480 Å, 2θ 36.22, rel. 49
- (2 0 0), 2.148 Å, 2θ 42.07, rel. 13
- (2 0 1), 2.139 Å, 2θ 42.25, rel. 31
- (1 1 6), 2.110 Å, 2θ 42.87, rel. 100
- (0 0 12), 2.007 Å, 2θ 45.18, rel. 15
- (2 0 5), 1.962 Å, 2θ 46.29, rel. 13
- (2 1 7), 1.468 Å, 2θ 63.35, rel. 22
- (1 1 14), 1.413 Å, 2θ 66.11, rel. 9
- (2 0 13), 1.403 Å, 2θ 66.68, rel. 17
- (3 0 6), 1.349 Å, 2θ 69.73, rel. 22


No. 6
BaMgIn2Pt: theoretical powder diffractogram (CuKα), based on DFT lattice parameters and positions (GGA-PBE).

Cell and atoms:
a b c (Å): 4.7762 4.7762 11.9333
angles (deg): 90.00 90.00 90.00
Space group I4mm (No. 107)
Symmetry-distinct sites (fractional):
Ba1 0.0000 0.0000 0.0000
Mg1 0.0000 0.0000 0.3975
In1 0.0000 0.5000 0.2363
Pt1 0.0000 0.0000 0.6165

Peak list (12 most intense, 2θ from 5° to 70°, by angle)
- (0 0 2), 5.967 Å, 2θ 14.85, rel. 38
- (1 0 1), 4.434 Å, 2θ 20.02, rel. 22
- (1 0 3), 3.057 Å, 2θ 29.22, rel. 53
- (1 1 2), 2.939 Å, 2θ 30.41, rel. 100
- (2 0 0), 2.388 Å, 2θ 37.67, rel. 57
- (1 1 4), 2.236 Å, 2θ 40.34, rel. 28
- (1 0 5), 2.135 Å, 2θ 42.33, rel. 27
- (2 1 3), 1.882 Å, 2θ 48.37, rel. 27
- (1 1 6), 1.714 Å, 2θ 53.47, rel. 17
- (2 2 0), 1.689 Å, 2θ 54.33, rel. 19
- (2 1 5), 1.592 Å, 2θ 57.94, rel. 22
- (3 1 2), 1.464 Å, 2θ 63.54, rel. 24


No. 7
BeAl2ZnCu4: theoretical powder diffractogram (CuKα), based on DFT lattice parameters and positions (GGA-PBE).

Cell and atoms:
a b c (Å): 5.7980 5.7980 11.5363
angles (deg): 90.00 90.00 90.00
Space group I4_1/amd (No. 141, origin choice 2)
Symmetry-distinct sites (fractional):
Be1 0.0000 0.2500 0.3750
Al1 0.0000 0.2500 0.1160
Zn1 0.0000 0.2500 0.8750
Cu1 0.2250 0.0000 0.5000

Peak list (12 most intense, 2θ from 5° to 70°, by angle)
- (1 0 1), 5.181 Å, 2θ 17.12, rel. 5
- (1 0 3), 3.205 Å, 2θ 27.84, rel. 8
- (2 0 0), 2.899 Å, 2θ 30.84, rel. 17
- (0 0 4), 2.884 Å, 2θ 31.01, rel. 9
- (2 1 1), 2.530 Å, 2θ 35.48, rel. 12
- (1 0 5), 2.144 Å, 2θ 42.15, rel. 5
- (2 2 0), 2.050 Å, 2θ 44.18, rel. 49
- (2 0 4), 2.045 Å, 2θ 44.30, rel. 100
- (3 0 1), 1.906 Å, 2θ 47.71, rel. 6
- (2 2 4), 1.671 Å, 2θ 54.95, rel. 5
- (4 0 0), 1.450 Å, 2θ 64.26, rel. 14
- (0 0 8), 1.442 Å, 2θ 64.63, rel. 8


No. 8
Nb2FeSn2Pt: theoretical powder diffractogram (CuKα), based on DFT lattice parameters and positions (GGA-PBE).

Cell and atoms:
a b c (Å): 6.1550 6.1550 12.1790
angles (deg): 90.00 90.00 90.00
Space group I-42d (No. 122)
Symmetry-distinct sites (fractional):
Nb1 0.2324 0.7500 0.1250
Fe1 0.0000 0.0000 0.0000
Sn1 0.2391 0.2500 0.1250
Pt1 0.0000 0.0000 0.5000

Peak list (12 most intense, 2θ from 5° to 70°, by angle)
- (1 0 1), 5.493 Å, 2θ 16.13, rel. 12
- (1 1 2), 3.541 Å, 2θ 25.15, rel. 54
- (1 0 3), 3.389 Å, 2θ 26.30, rel. 9
- (2 0 0), 3.077 Å, 2θ 29.01, rel. 9
- (2 1 1), 2.685 Å, 2θ 33.37, rel. 10
- (2 2 0), 2.176 Å, 2θ 41.50, rel. 50
- (2 0 4), 2.164 Å, 2θ 41.73, rel. 100
- (3 1 2), 1.854 Å, 2θ 49.14, rel. 18
- (1 1 6), 1.840 Å, 2θ 49.55, rel. 9
- (4 0 0), 1.539 Å, 2θ 60.13, rel. 17
- (0 0 8), 1.522 Å, 2θ 60.85, rel. 8
- (3 1 6), 1.405 Å, 2θ 66.56, rel. 7


No. 9
Ho3Mg3Zn2Cd: theoretical powder diffractogram (CuKα), based on DFT lattice parameters and positions (GGA-PBE).

Cell and atoms:
a b c (Å): 7.5499 7.5499 4.2148
angles (deg): 90.00 90.00 120.00
Space group P-62m (No. 189)
Symmetry-distinct sites (fractional):
Ho1 0.0000 0.5798 0.0000
Mg1 0.0000 0.2552 0.5000
Zn1 0.3333 0.6667 0.5000
Cd1 0.0000 0.0000 0.0000

Peak list (12 most intense, 2θ from 5° to 70°, by angle)
- (0 0 1), 4.215 Å, 2θ 21.08, rel. 28
- (1 1 0), 3.775 Å, 2θ 23.57, rel. 26
- (2 0 0), 3.269 Å, 2θ 27.28, rel. 39
- (1 1 1), 2.812 Å, 2θ 31.82, rel. 67
- (2 0 1), 2.583 Å, 2θ 34.73, rel. 100
- (2 1 0), 2.471 Å, 2θ 36.35, rel. 22
- (3 0 0), 2.179 Å, 2θ 41.43, rel. 19
- (2 1 1), 2.132 Å, 2θ 42.40, rel. 19
- (0 0 2), 2.107 Å, 2θ 42.92, rel. 21
- (3 1 0), 1.813 Å, 2θ 50.32, rel. 21
- (3 1 1), 1.666 Å, 2θ 55.14, rel. 27
- (3 2 1), 1.413 Å, 2θ 66.12, rel. 19


No. 10
Na6AlHg: theoretical powder diffractogram (CuKα), based on DFT lattice parameters and positions (GGA-PBE).

Cell and atoms:
a b c (Å): 6.7245 6.7245 5.4860
angles (deg): 90.00 90.00 120.00
Space group P-6m2 (No. 187)
Symmetry-distinct sites (fractional):
Na1 0.0142 0.5071 0.0000
Na2 0.3227 0.1614 0.5000
Al1 0.3333 0.6667 0.5000
Hg1 0.0000 0.0000 0.0000

Peak list (12 most intense, 2θ from 5° to 70°, by angle)
- (1 0 0), 5.824 Å, 2θ 15.21, rel. 98
- (0 0 1), 5.486 Å, 2θ 16.16, rel. 27
- (1 0 1), 3.993 Å, 2θ 22.26, rel. 82
- (1 1 0), 3.362 Å, 2θ 26.51, rel. 29
- (2 0 0), 2.912 Å, 2θ 30.71, rel. 36
- (1 1 1), 2.867 Å, 2θ 31.20, rel. 36
- (0 0 2), 2.743 Å, 2θ 32.65, rel. 25
- (2 0 1), 2.572 Å, 2θ 34.88, rel. 100
- (1 0 2), 2.482 Å, 2θ 36.20, rel. 25
- (2 1 1), 2.043 Å, 2θ 44.34, rel. 31
- (2 0 2), 1.997 Å, 2θ 45.43, rel. 24
- (2 0 3), 1.549 Å, 2θ 59.70, rel. 33


Copy entry 6 word for word.
BaMgIn2Pt: theoretical powder diffractogram (CuKα), based on DFT lattice parameters and positions (GGA-PBE).

Cell and atoms:
a b c (Å): 4.7762 4.7762 11.9333
angles (deg): 90.00 90.00 90.00
Space group I4mm (No. 107)
Symmetry-distinct sites (fractional):
Ba1 0.0000 0.0000 0.0000
Mg1 0.0000 0.0000 0.3975
In1 0.0000 0.5000 0.2363
Pt1 0.0000 0.0000 0.6165

Peak list (12 most intense, 2θ from 5° to 70°, by angle)
- (0 0 2), 5.967 Å, 2θ 14.85, rel. 38
- (1 0 1), 4.434 Å, 2θ 20.02, rel. 22
- (1 0 3), 3.057 Å, 2θ 29.22, rel. 53
- (1 1 2), 2.939 Å, 2θ 30.41, rel. 100
- (2 0 0), 2.388 Å, 2θ 37.67, rel. 57
- (1 1 4), 2.236 Å, 2θ 40.34, rel. 28
- (1 0 5), 2.135 Å, 2θ 42.33, rel. 27
- (2 1 3), 1.882 Å, 2θ 48.37, rel. 27
- (1 1 6), 1.714 Å, 2θ 53.47, rel. 17
- (2 2 0), 1.689 Å, 2θ 54.33, rel. 19
- (2 1 5), 1.592 Å, 2θ 57.94, rel. 22
- (3 1 2), 1.464 Å, 2θ 63.54, rel. 24